Structure and simulated powder X-ray diffraction pattern of NaFe2PbF9 (the PBE+U geometry in Alexandria; copper Kα).
No peak broadening, texture or thermal motion is included.

Cell and atoms:
a = 7.3783 Å, b = 12.6293 Å, c = 7.7403 Å
α = 90.00°, β = 92.93°, γ = 90.00°
Space group C2/c (No. 15)
Symmetry-distinct sites (fractional):
Na1 0.2500 0.2500 0.0000 (multiplicity 4)
Fe1 0.0000 0.0000 0.0000 (multiplicity 4)
Fe2 0.2500 0.2500 0.5000 (multiplicity 4)
Pb1 0.0000 0.4724 0.2500 (multiplicity 4)
F1 0.0000 0.0262 0.7500 (multiplicity 4)
F2 0.0415 0.1509 0.4572 (multiplicity 8)
F3 0.0721 0.3513 0.5753 (multiplicity 8)
F4 0.2073 0.3100 0.2697 (multiplicity 8)
F5 0.2437 0.4653 0.9804 (multiplicity 8)

Principal peaks in the range 2θ = 10–90°, sorted by position:
2θ (°), Rel. int., h k l
13.91, 69, 1 1 0
14.02, 65, 0 2 0
26.45, 69, 1 1 -2
27.05, 37, 0 2 2
27.52, 61, 1 1 2
28.04, 100, 2 2 0
28.27, 36, 0 4 0
33.31, 28, 1 3 -2
39.70, 26, 2 4 1
43.76, 29, 2 4 -2